# 1
Structure and simulated X-ray powder pattern of CsCe (a crystal structure in the Materials Project, relaxed with GGA-PBE; CuKα).
Intensities are scaled so that the largest is 100.

Crystal structure
```
data_CsCe
_chemical_formula_sum 'Cs1 Ce1'
_symmetry_space_group_name_H-M 'P 1'
_symmetry_Int_Tables_number 1
_symmetry_space_group_name_Hall 'P 1'
_cell_length_a 3.687
_cell_length_b 3.723
_cell_length_c 7.543
_cell_angle_alpha 89.52
_cell_angle_beta 89.95
_cell_angle_gamma 60.99
loop_
_atom_site_label
_atom_site_type_symbol
_atom_site_fract_x
_atom_site_fract_y
_atom_site_fract_z
Cs1 Cs 0.000 0.000 0.000
Ce1 Ce 0.667 0.666 0.500
```

Peak list (10 most intense, 2θ from 10° to 90°, by intensity)
| d [Å] | Position (°2θ) | I/Imax | hkl |
| --- | --- | --- | --- |
| 3.772 | 23.6 | 100 | 0 0 2 |
| 2.965 | 30.1 | 80 | 1 0 1 |
| 2.999 | 29.8 | 42 | 0 1 1 |
| 2.980 | 30.0 | 41 | 0 1 -1 |
| 2.945 | 30.3 | 39 | 1 1 1 |
| 2.934 | 30.5 | 39 | 1 1 -1 |
| 1.980 | 45.8 | 38 | 0 1 -3 |
| 1.656 | 55.5 | 19 | 2 1 2 |
| 3.256 | 27.4 | 17 | 0 1 0 |
| 3.224 | 27.7 | 17 | 1 0 0 |

---

# 2
Structure and simulated X-ray powder pattern of ZrB (a crystal structure in the Materials Project, relaxed with GGA-PBE; CuKα).
Intensities are scaled so that the largest is 100.

Crystal structure
```
data_ZrB
_chemical_formula_sum 'Zr2 B2'
_symmetry_space_group_name_H-M 'P 1'
_symmetry_Int_Tables_number 1
_symmetry_space_group_name_Hall 'P 1'
_cell_length_a 3.612
_cell_length_b 3.612
_cell_length_c 5.241
_cell_angle_alpha 90.00
_cell_angle_beta 90.00
_cell_angle_gamma 120.00
loop_
_atom_site_label
_atom_site_type_symbol
_atom_site_fract_x
_atom_site_fract_y
_atom_site_fract_z
Zr1 Zr 0.000 0.000 0.000
Zr2 Zr 0.333 0.667 0.500
B1 B 0.667 0.333 0.267
B2 B 0.667 0.333 0.733
```

Peak list (10 most intense, 2θ from 10° to 90°, by intensity)
| d [Å] | Position (°2θ) | I/Imax | hkl |
| --- | --- | --- | --- |
| 2.686 | 33.4 | 100 | 1 0 1 |
| 1.806 | 50.5 | 23 | 1 1 0 |
| 2.009 | 45.1 | 19 | 1 0 2 |
| 1.487 | 62.4 | 18 | 1 1 2 |
| 2.620 | 34.2 | 17 | 0 0 2 |
| 1.525 | 60.7 | 17 | 1 0 3 |
| 3.128 | 28.5 | 17 | 1 0 0 |
| 1.499 | 61.9 | 16 | 2 0 1 |
| 1.153 | 83.9 | 13 | 2 1 1 |
| 1.165 | 82.8 | 7 | 2 0 3 |